# 1
Pm3Co3B8: calculated powder XRD pattern (Cu Kα X-rays), based on a DFT-relaxed cell (GGA-PBE, Alexandria).
Lines closer than 0.1° are merged.

Largest 6 diffraction maxima, low angle first, 5° ≤ 2θ ≤ 70°:
2θ (°)	d (Å)	Rel. int.
21.28	4.174	48
27.78	3.211	58
29.97	2.982	59
35.26	2.545	40
36.11	2.488	29
41.36	2.183	100

Structure:
Lattice parameters (Å, degrees): 7.824 7.824 7.824 156.46 115.51 69.67
Positions (direct):
Pm 0.000 0.000 0.000
Pm 0.273 0.273 0.000
Pm 0.727 0.727 0.000
Co 0.304 0.500 0.804
Co 0.500 0.000 0.500
Co 0.696 0.500 0.196
B 0.064 0.366 0.698
B 0.158 0.886 0.271
B 0.331 0.634 0.698
B 0.385 0.114 0.271
B 0.615 0.886 0.729
B 0.669 0.366 0.302
B 0.842 0.114 0.729
B 0.936 0.634 0.302

---

# 2
Pr2Co7B3: calculated powder XRD pattern (Cu Kα X-rays), based on a DFT-relaxed cell (GGA-PBE, Alexandria).
Lines closer than 0.1° are merged.

Largest 6 diffraction maxima, low angle first, 5° ≤ 2θ ≤ 70°:
2θ (°)	d (Å)	Rel. int.
34.65	2.589	95
34.83	2.576	24
40.44	2.231	100
45.32	2.001	82
62.34	1.490	34
69.83	1.347	22

Structure:
Lattice parameters (Å, degrees): 5.151 5.151 12.714 90.00 90.00 120.00
Positions (direct):
Pr 0.000 0.000 0.000
Pr 0.000 0.000 0.240
Pr 0.000 0.000 0.500
Pr 0.000 0.000 0.760
Co 0.000 0.500 0.115
Co 0.000 0.500 0.343
Co 0.000 0.500 0.657
Co 0.000 0.500 0.885
Co 0.333 0.667 0.500
Co 0.500 0.000 0.115
Co 0.500 0.000 0.343
Co 0.500 0.000 0.657
Co 0.500 0.000 0.885
Co 0.500 0.500 0.115
Co 0.500 0.500 0.343
Co 0.500 0.500 0.657
Co 0.500 0.500 0.885
Co 0.667 0.333 0.500
B 0.333 0.667 0.000
B 0.333 0.667 0.231
B 0.333 0.667 0.769
B 0.667 0.333 0.000
B 0.667 0.333 0.231
B 0.667 0.333 0.769